1.
Simulated PXRD pattern of YCo4C for Cu Kα (λ = 1.5418 Å), from a GGA-PBE-relaxed structure.
Neutral-atom scattering factors, no anomalous dispersion.

Structure:
Lattice parameters (Å, degrees): 6.927 6.927 5.654 90.00 90.00 146.94
Element x y z (fractional)
Y (0.102, 0.898, 0.750)
Y (0.898, 0.102, 0.250)
Co (0.119, 0.881, 0.250)
Co (0.296, 0.704, 0.524)
Co (0.296, 0.704, 0.976)
Co (0.500, 0.500, 0.000)
Co (0.500, 0.500, 0.500)
Co (0.704, 0.296, 0.024)
Co (0.704, 0.296, 0.476)
Co (0.881, 0.119, 0.750)
C (0.400, 0.600, 0.750)
C (0.600, 0.400, 0.250)

Main lines, by angle (2θ from 10° to 90°):
2theta	Rel. int.
39.82	92
40.97	100
41.97	60
44.43	14
46.05	42
52.51	14
64.06	31
76.76	17
80.79	21
81.77	12

***

2.
Simulated PXRD pattern of YCoC for Cu Kα (λ = 1.5418 Å), from a GGA-PBE-relaxed structure.
Neutral-atom scattering factors, no anomalous dispersion.

Structure:
Lattice parameters (Å, degrees): 3.619 3.619 6.962 90.00 90.00 90.00
Element x y z (fractional)
Y (0.000, 0.000, 0.250)
Y (0.000, 0.000, 0.750)
Co (0.500, 0.500, 0.000)
Co (0.500, 0.500, 0.500)
C (0.000, 0.500, 0.000)
C (0.500, 0.000, 0.500)

Main lines, by angle (2θ from 10° to 90°):
2theta	Rel. int.
35.07	46
35.79	100
50.43	20
52.58	9
63.38	35
64.78	15
75.85	11
84.70	7
85.12	7
88.49	7